Entry 1:
PrCdNi5: simulated XRD peak list (Cu Kα, 1.54184 Å), based on a crystal structure in Alexandria, relaxed with PBE.

The 12 most intense peaks (5 to 70 degrees two-theta), sorted by position:
2theta  d (Å)  I/Imax  index
31.58  2.833  21  0 1 3
33.45  2.679  18  1 1 3
36.21  2.481  22  1 0 4
36.62  2.454  23  0 2 0
38.56  2.335  100  3 1 1
41.49  2.177  15  3 1 2
43.82  2.066  21  2 2 1
44.89  2.019  30  1 0 5
45.17  2.007  27  2 1 4
46.66  1.947  28  1 2 3
66.69  1.403  16  4 1 5
67.23  1.392  23  3 3 1

Crystal structure
a b c (Å): 8.238 4.908 10.407
angles (deg): 90.00 90.00 90.00
Space group Pnma (No. 62)
Asymmetric unit:
Pr1 0.245 0.250 0.060 [4 per cell]
Cd1 0.139 0.750 0.863 [4 per cell]
Ni1 0.046 0.750 0.113 [4 per cell]
Ni2 0.067 0.501 0.313 [8 per cell]
Ni3 0.078 0.250 0.516 [4 per cell]
Ni4 0.188 0.250 0.739 [4 per cell]

---

Entry 2:
MgMo6Se8: simulated XRD peak list (Cu Kα, 1.54184 Å), based on a crystal structure in Alexandria, relaxed with PBE.

The 12 most intense peaks (5 to 70 degrees two-theta), sorted by position:
2theta  d (Å)  I/Imax  index
12.98  6.819  100  0 0 2
13.06  6.778  47  0 1 0
30.54  2.927  17  0 2 2
37.16  2.419  17  1 -2 4
38.74  2.324  16  -2 2 2
39.46  2.284  23  2 1 -4
41.65  2.169  19  2 1 4
42.52  2.126  17  1 -1 6
42.71  2.117  25  3 -1 2
44.26  2.047  24  1 3 -2
44.56  2.033  22  -1 1 6
47.24  1.924  24  1 -2 6

Crystal structure
a b c (Å): 6.829 6.840 13.743
angles (deg): 95.35 90.30 95.51
Space group P-1 (No. 2)
Asymmetric unit:
Mg1 0.087 0.364 0.251 [2 per cell]
Mo1 0.236 0.040 0.460 [2 per cell]
Mo2 0.237 0.039 0.961 [2 per cell]
Mo3 0.408 0.729 0.521 [2 per cell]
Mo4 0.410 0.736 0.024 [2 per cell]
Mo5 0.448 0.087 0.133 [2 per cell]
Mo6 0.448 0.090 0.631 [2 per cell]
Se1 0.114 0.877 0.118 [2 per cell]
Se2 0.116 0.870 0.617 [2 per cell]
Se3 0.213 0.701 0.360 [2 per cell]
Se4 0.227 0.695 0.860 [2 per cell]
Se5 0.265 0.371 0.068 [2 per cell]
Se6 0.268 0.367 0.566 [2 per cell]
Se7 0.387 0.220 0.818 [2 per cell]
Se8 0.396 0.226 0.320 [2 per cell]

---

Entry 3:
ScVGa: simulated XRD peak list (Cu Kα, 1.54184 Å), based on a crystal structure in Alexandria, relaxed with PBE.

The 12 most intense peaks (5 to 70 degrees two-theta), sorted by position:
2theta  d (Å)  I/Imax  index
17.83  4.975  61  0 1 1
27.94  3.194  31  1 1 -1
35.41  2.535  55  1 2 2
36.12  2.487  90  1 0 -2
41.71  2.166  100  2 2 0
42.32  2.136  53  0 3 1
43.45  2.083  50  0 2 -2
45.21  2.006  26  -2 1 1
50.50  1.807  13  -1 3 1
57.24  1.609  26  1 4 0
57.73  1.597  12  0 4 0
64.50  1.445  17  2 1 -3

Crystal structure
a b c (Å): 5.193 6.658 6.658
angles (deg): 77.46 77.04 77.04
Space group P-1 (No. 2)
Asymmetric unit:
Sc1 0.229 0.094 0.344 [2 per cell]
Sc2 0.230 0.593 0.844 [2 per cell]
V1 0.090 0.614 0.365 [2 per cell]
V2 0.091 0.115 0.865 [2 per cell]
Ga1 0.447 0.807 0.057 [2 per cell]
Ga2 0.448 0.307 0.557 [2 per cell]

---

Entry 4:
NiSb4Rh: simulated XRD peak list (Cu Kα, 1.54184 Å), based on a crystal structure in Alexandria, relaxed with PBE.

The 12 most intense peaks (5 to 70 degrees two-theta), sorted by position:
2theta  d (Å)  I/Imax  index
30.99  2.885  16  1 0 -2
31.25  2.862  100  2 1 0
31.76  2.818  35  1 0 2
34.03  2.635  50  2 1 -1
34.15  2.626  16  1 2 -1
34.50  2.600  21  1 2 1
34.74  2.582  24  1 1 2
46.70  1.945  14  3 1 -1
46.91  1.937  34  1 1 -3
47.21  1.925  14  1 3 1
47.52  1.913  17  3 1 1
53.35  1.717  14  2 3 -1

Crystal structure
a b c (Å): 6.403 6.407 6.372
angles (deg): 90.00 91.71 90.00
Space group P2_1/c (No. 14)
Asymmetric unit:
Ni1 0.000 0.000 0.000 [2 per cell]
Sb1 0.128 0.131 0.637 [4 per cell]
Sb2 0.364 0.629 0.621 [4 per cell]
Rh1 0.500 0.000 0.500 [2 per cell]

---

Entry 5:
Fe4CoSb: simulated XRD peak list (Cu Kα, 1.54184 Å), based on a crystal structure in Alexandria, relaxed with PBE.

The 8 most intense peaks (5 to 70 degrees two-theta), sorted by position:
2theta  d (Å)  I/Imax  index
22.61  3.933  5  1 1 1
26.16  3.406  6  2 0 0
37.33  2.409  43  2 2 0
44.09  2.054  100  3 1 1
46.16  1.967  27  2 2 2
59.11  1.563  1  3 3 1
60.81  1.523  2  4 2 0
67.34  1.391  14  4 2 2

Crystal structure
a b c (Å): 6.813 6.813 6.813
angles (deg): 90.00 90.00 90.00
Space group F-43m (No. 216)
Asymmetric unit:
Fe1 0.125 0.125 0.125 [16 per cell]
Co1 0.000 0.000 0.500 [4 per cell]
Sb1 0.250 0.250 0.750 [4 per cell]